(1)
For Dy4Br2NCl3, a cell relaxed with PBE gives the theoretical X-ray powder pattern in this record (CuKα).
Peak positions follow from Bragg's law for the DFT cell and can differ from measured ones.

Most intense lines, 2θ from 10° to 90°, sorted by position:
10.49 deg, rel. 36, (2 0 0)
11.73 deg, rel. 100, (0 0 1)
31.82 deg, rel. 41, (6 0 0)
33.65 deg, rel. 93, (1 1 -2)
35.29 deg, rel. 28, (6 0 -2)
36.15 deg, rel. 44, (5 1 0)
42.91 deg, rel. 21, (8 0 0)
46.99 deg, rel. 59, (2 0 -4)

a = 17.3167 Å, b = 3.6706 Å, c = 7.7406 Å
α = 90.00°, β = 103.02°, γ = 90.00°
Space group C2/m (No. 12)
One atom of each set of equivalent atoms:
Dy: 0.0006 0.0000 0.2926
Dy: 0.1384 0.5000 0.5747
Br: 0.1713 0.0000 0.3132
N: 0.0000 0.5000 0.5000
Cl: 0.0000 0.5000 0.0000
Cl: 0.1587 0.0000 0.8396

(2)
For SmDyBr2NCl, a cell relaxed with PBE gives the theoretical X-ray powder pattern in this record (CuKα).
Peak positions follow from Bragg's law for the DFT cell and can differ from measured ones.

Most intense lines, 2θ from 10° to 90°, sorted by position:
10.63 deg, rel. 100, (2 0 -1)
26.44 deg, rel. 48, (1 1 1)
28.03 deg, rel. 71, (1 1 -2)
32.12 deg, rel. 50, (1 1 2)
32.36 deg, rel. 32, (4 0 -4)
32.48 deg, rel. 45, (6 0 -1)
34.62 deg, rel. 29, (5 1 -2)
43.26 deg, rel. 34, (5 1 1)

a = 17.3413 Å, b = 3.9292 Å, c = 11.1702 Å
α = 90.00°, β = 121.79°, γ = 90.00°
Space group C2/m (No. 12)
One atom of each set of equivalent atoms:
Sm: 0.1342 0.0000 0.2872
Dy: 0.0795 0.5000 0.9582
Br: 0.0499 0.0000 0.7460
Br: 0.1636 0.5000 0.5201
N: 0.0717 0.5000 0.1525
Cl: 0.2063 0.0000 0.1061

(3)
For SmDyBr2NCl, a cell relaxed with PBE gives the theoretical X-ray powder pattern in this record (CuKα).
Peak positions follow from Bragg's law for the DFT cell and can differ from measured ones.

Most intense lines, 2θ from 10° to 90°, sorted by position:
26.60 deg, rel. 100, (1 1 1)
27.93 deg, rel. 61, (1 1 -2)
30.79 deg, rel. 35, (4 0 -4)
31.11 deg, rel. 53, (6 0 -1)
32.41 deg, rel. 90, (1 1 2)
35.12 deg, rel. 44, (5 1 -3)
41.37 deg, rel. 44, (7 1 -3)
43.22 deg, rel. 43, (5 1 1)

a = 18.5334 Å, b = 3.9173 Å, c = 11.6318 Å
α = 90.00°, β = 125.78°, γ = 90.00°
Space group C2/m (No. 12)
One atom of each set of equivalent atoms:
Sm: 0.1391 0.0000 0.2918
Dy: 0.0732 0.5000 0.9602
Br: 0.0361 0.0000 0.7474
Br: 0.2145 0.0000 0.1201
N: 0.0745 0.5000 0.1537
Cl: 0.1738 0.5000 0.5064

(4)
For TbDyBr2NCl, a cell relaxed with PBE gives the theoretical X-ray powder pattern in this record (CuKα).
Peak positions follow from Bragg's law for the DFT cell and can differ from measured ones.

Most intense lines, 2θ from 10° to 90°, sorted by position:
27.00 deg, rel. 100, (1 1 1)
28.29 deg, rel. 60, (1 1 -2)
31.21 deg, rel. 52, (6 0 -1)
32.88 deg, rel. 75, (1 1 2)
33.49 deg, rel. 37, (5 1 -2)
35.25 deg, rel. 42, (5 1 -3)
41.44 deg, rel. 43, (7 1 -3)
43.77 deg, rel. 35, (5 1 1)

a = 18.5933 Å, b = 3.8599 Å, c = 11.6183 Å
α = 90.00°, β = 126.63°, γ = 90.00°
Space group C2/m (No. 12)
One atom of each set of equivalent atoms:
Tb: 0.1390 0.0000 0.2916
Dy: 0.0732 0.5000 0.9608
Br: 0.0326 0.0000 0.7436
Br: 0.2159 0.0000 0.1247
N: 0.0758 0.5000 0.1559
Cl: 0.1757 0.5000 0.5058

(5)
For Dy2Y2Br2NCl3, a cell relaxed with PBE gives the theoretical X-ray powder pattern in this record (CuKα).
Peak positions follow from Bragg's law for the DFT cell and can differ from measured ones.

Most intense lines, 2θ from 10° to 90°, sorted by position:
11.71 deg, rel. 100, (0 0 1)
26.90 deg, rel. 23, (1 1 -1)
31.77 deg, rel. 32, (6 0 0)
32.69 deg, rel. 18, (3 1 1)
33.53 deg, rel. 85, (1 1 -2)
36.04 deg, rel. 36, (5 1 -1)
46.81 deg, rel. 30, (2 0 -4)
46.92 deg, rel. 21, (5 1 2)

a = 17.3547 Å, b = 3.6859 Å, c = 7.7611 Å
α = 90.00°, β = 103.12°, γ = 90.00°
Space group C2/m (No. 12)
One atom of each set of equivalent atoms:
Dy: 0.1379 0.0000 0.0749
Y: 0.9995 0.5000 0.2080
Br: 0.1716 0.5000 0.8152
N: 0.0000 0.0000 0.0000
Cl: 0.0000 0.0000 0.5000
Cl: 0.1591 0.5000 0.3391

(6)
For DyYBrNCl2, a cell relaxed with PBE gives the theoretical X-ray powder pattern in this record (CuKα).
Peak positions follow from Bragg's law for the DFT cell and can differ from measured ones.

Most intense lines, 2θ from 10° to 90°, sorted by position:
10.12 deg, rel. 100, (2 0 -1)
27.22 deg, rel. 43, (1 1 1)
28.54 deg, rel. 17, (1 1 -2)
31.43 deg, rel. 17, (4 0 -4)
32.10 deg, rel. 18, (6 0 -1)
33.17 deg, rel. 35, (1 1 2)
34.18 deg, rel. 15, (5 1 -2)
47.46 deg, rel. 23, (0 2 0)

a = 18.0147 Å, b = 3.8339 Å, c = 11.4034 Å
α = 90.00°, β = 125.93°, γ = 90.00°
Space group C2/m (No. 12)
One atom of each set of equivalent atoms:
Dy: 0.1404 0.0000 0.2912
Y: 0.0744 0.5000 0.9572
Br: 0.2215 0.0000 0.1220
N: 0.0784 0.5000 0.1565
Cl: 0.0303 0.0000 0.7535
Cl: 0.1719 0.5000 0.5051

(7)
For Dy2Se2BrCl, a cell relaxed with PBE gives the theoretical X-ray powder pattern in this record (CuKα).
Peak positions follow from Bragg's law for the DFT cell and can differ from measured ones.

Most intense lines, 2θ from 10° to 90°, sorted by position:
10.23 deg, rel. 100, (0 0 1)
18.76 deg, rel. 45, (0 1 1)
24.06 deg, rel. 24, (1 0 1)
30.07 deg, rel. 78, (1 0 2)
31.68 deg, rel. 36, (0 2 0)
41.53 deg, rel. 22, (1 1 3)
44.24 deg, rel. 68, (2 0 0)
55.44 deg, rel. 14, (2 2 0)

a = 4.0932 Å, b = 5.6495 Å, c = 8.6442 Å
α = 90.00°, β = 90.00°, γ = 90.00°
Space group Pmm2 (No. 25)
One atom of each set of equivalent atoms:
Dy: 0.0000 0.0000 0.0000
Dy: 0.5000 0.5000 0.2741
Se: 0.0000 0.5000 0.0387
Se: 0.5000 0.0000 0.2335
Br: 0.5000 0.0000 0.7749
Cl: 0.0000 0.5000 0.4735

(8)
For Er2Fe2BrCl, a cell relaxed with PBE gives the theoretical X-ray powder pattern in this record (CuKα).
Peak positions follow from Bragg's law for the DFT cell and can differ from measured ones.

Most intense lines, 2θ from 10° to 90°, sorted by position:
27.10 deg, rel. 26, (1 0 0)
28.29 deg, rel. 22, (1 0 1)
31.59 deg, rel. 52, (1 0 2)
36.50 deg, rel. 100, (0 1 3)
47.89 deg, rel. 37, (1 1 0)
61.68 deg, rel. 21, (2 0 3)
71.03 deg, rel. 19, (1 1 6)
81.67 deg, rel. 19, (1 2 3)

a = 3.7988 Å, b = 3.7988 Å, c = 11.1291 Å
α = 90.00°, β = 90.00°, γ = 120.00°
Space group P3m1 (No. 156)
One atom of each set of equivalent atoms:
Er: 0.0000 0.0000 0.0000
Er: 0.0000 0.0000 0.3540
Fe: 0.3333 0.6667 0.1856
Fe: 0.6667 0.3333 0.1685
Br: 0.3333 0.6667 0.8276
Cl: 0.6667 0.3333 0.5082